Calculated XRD peak list of CrSnAsO5 for λ = 1.5418 Å (Cu Kα), from a GGA+U-relaxed structure.
Intensities are scaled so that the largest is 100.

Cell and atoms:
Unit cell a=7.851 b=8.025 c=7.852 alpha=90.00 beta=117.49 gamma=90.00
Space group C2/c (No. 15)
Unique sites:
Cr (0.000, 0.047, 0.250) (multiplicity 4)
Sn (0.250, 0.250, 0.000) (multiplicity 4)
As (0.000, 0.416, 0.250) (multiplicity 4)
O (0.000, 0.195, 0.750) (multiplicity 4)
O (0.091, 0.246, 0.159) (multiplicity 8)
O (0.245, 0.008, 0.495) (multiplicity 8)

Main lines, sorted by position (15° ≤ 2θ ≤ 90°):
Position (°2θ), Rel. int., hkl
17.2, 26, 1 1 -1
24.5, 100, 1 1 1
26.6, 88, 2 0 -2
34.1, 48, 2 2 0
36.1, 56, 1 3 -1
36.4, 36, 3 1 -1
44.5, 29, 2 0 2
51.9, 26, 4 2 -2
52.6, 42, 4 0 0
53.4, 25, 3 3 -3
58.6, 27, 3 3 1
71.9, 20, 5 3 -1